No. 1
Calculated X-ray diffraction stick pattern
Compound: Pm2SmHo5Th
Radiation: Cu Ka
Structure: DFT lattice parameters and positions (PBE)

Atomic structure:
abc: 5.721 21.476 9.817
angles: 90.00 90.00 90.00
Space group Cmc2_1 (No. 36)
Asymmetric unit:
Pm  0.000  0.115  0.000 [4 per cell]
Pm  0.000  0.129  0.383 [4 per cell]
Sm  0.000  0.192  0.688 [4 per cell]
Ho  0.000  0.014  0.688 [4 per cell]
Ho  0.000  0.272  0.997 [4 per cell]
Ho  0.000  0.306  0.386 [4 per cell]
Ho  0.000  0.399  0.711 [4 per cell]
Ho  0.000  0.470  0.411 [4 per cell]
Th  0.000  0.407  0.095 [4 per cell]

Top 12 peaks for 5° ≤ 2θ ≤ 70°, sorted by position:
26.51 deg, d 3.363, I = 13
31.27 deg, d 2.860, I = 36
31.79 deg, d 2.815, I = 100
33.13 deg, d 2.704, I = 10
33.95 deg, d 2.640, I = 10
34.41 deg, d 2.607, I = 18
41.44 deg, d 2.179, I = 8
53.21 deg, d 1.721, I = 8
55.98 deg, d 1.643, I = 20
57.26 deg, d 1.609, I = 6
58.85 deg, d 1.569, I = 5
63.03 deg, d 1.475, I = 9



No. 2
Calculated X-ray diffraction stick pattern
Compound: SrNp2As3
Radiation: Cu Ka
Structure: DFT lattice parameters and positions (PBE)

Atomic structure:
abc: 7.2272 7.2272 7.6115
angles: 90.00 90.00 120.00
Space group P6_3/mcm (No. 193)
Asymmetric unit:
Sr  0.0000  0.0000  0.2500 [2 per cell]
Np  0.3333  0.6667  0.0000 [4 per cell]
As  0.0000  0.4355  0.2500 [6 per cell]

Top 12 peaks for 5° ≤ 2θ ≤ 70°, sorted by position:
14.15 deg, d 6.259, I = 72
24.64 deg, d 3.614, I = 100
27.43 deg, d 3.252, I = 47
34.22 deg, d 2.620, I = 88
37.20 deg, d 2.417, I = 84
43.37 deg, d 2.086, I = 36
45.13 deg, d 2.009, I = 29
47.80 deg, d 1.903, I = 17
49.85 deg, d 1.829, I = 18
50.51 deg, d 1.807, I = 30
54.50 deg, d 1.684, I = 24
66.51 deg, d 1.406, I = 20



No. 3
Calculated X-ray diffraction stick pattern
Compound: ThGa2Co2Rh
Radiation: Cu Ka
Structure: DFT lattice parameters and positions (PBE)

Atomic structure:
abc: 4.673 4.673 5.231
angles: 90.00 90.00 90.00
Space group P4/mmm (No. 123)
Asymmetric unit:
Th  0.000  0.000  0.000 [1 per cell]
Ga  0.000  0.500  0.500 [2 per cell]
Co  0.500  0.500  0.223 [2 per cell]
Rh  0.000  0.000  0.500 [1 per cell]

Top 12 peaks for 5° ≤ 2θ ≤ 70°, sorted by position:
18.99 deg, d 4.673, I = 64
26.98 deg, d 3.304, I = 65
32.04 deg, d 2.794, I = 72
34.29 deg, d 2.615, I = 24
38.53 deg, d 2.336, I = 97
39.48 deg, d 2.282, I = 100
43.30 deg, d 2.090, I = 17
52.52 deg, d 1.742, I = 29
55.63 deg, d 1.652, I = 33
56.35 deg, d 1.633, I = 76
65.66 deg, d 1.422, I = 19
67.00 deg, d 1.397, I = 15



No. 4
Calculated X-ray diffraction stick pattern
Compound: Li3Cd8Pt4
Radiation: Cu Ka
Structure: DFT lattice parameters and positions (PBE)

Atomic structure:
abc: 6.536 6.536 6.536
angles: 90.00 90.00 90.00
Space group Pm-3m (No. 221)
Asymmetric unit:
Li  0.000  0.000  0.500 [3 per cell]
Cd  0.256  0.256  0.256 [8 per cell]
Pt  0.000  0.000  0.000 [1 per cell]
Pt  0.000  0.500  0.500 [3 per cell]

Top 6 peaks for 5° ≤ 2θ ≤ 70°, sorted by position:
23.58 deg, d 3.774, I = 48
27.29 deg, d 3.268, I = 1
38.98 deg, d 2.311, I = 100
46.06 deg, d 1.971, I = 25
56.30 deg, d 1.634, I = 17
61.88 deg, d 1.499, I = 10



No. 5
Calculated X-ray diffraction stick pattern
Compound: Pm2PrEr3
Radiation: Cu Ka
Structure: DFT lattice parameters and positions (PBE)

Atomic structure:
abc: 8.995 9.860 9.014
angles: 90.00 101.69 90.00
Space group C2/c (No. 15)
Asymmetric unit:
Pm  0.123  0.247  0.126 [8 per cell]
Pr  0.000  0.414  0.750 [4 per cell]
Er  0.000  0.081  0.750 [4 per cell]
Er  0.250  0.084  0.501 [8 per cell]

Top 10 peaks for 5° ≤ 2θ ≤ 70°, sorted by position:
25.51 deg, d 3.491, I = 4
31.43 deg, d 2.846, I = 100
40.92 deg, d 2.205, I = 7
45.04 deg, d 2.013, I = 17
52.42 deg, d 1.746, I = 4
55.93 deg, d 1.644, I = 9
56.00 deg, d 1.642, I = 20
62.41 deg, d 1.488, I = 13
62.50 deg, d 1.486, I = 4
65.64 deg, d 1.422, I = 6



No. 6
Calculated X-ray diffraction stick pattern
Compound: K4C23
Radiation: Cu Ka
Structure: DFT lattice parameters and positions (PBE)

Atomic structure:
abc: 7.334 7.334 7.334
angles: 90.00 90.00 90.00
Space group Pm-3n (No. 223)
Asymmetric unit:
K  0.000  0.000  0.000 [2 per cell]
K  0.000  0.250  0.500 [6 per cell]
C  0.000  0.300  0.153 [24 per cell]
C  0.000  0.500  0.250 [6 per cell]
C  0.188  0.188  0.188 [16 per cell]

Top 12 peaks for 5° ≤ 2θ ≤ 70°, sorted by position:
27.19 deg, d 3.280, I = 20
29.84 deg, d 2.994, I = 42
38.83 deg, d 2.319, I = 2
42.71 deg, d 2.117, I = 15
44.54 deg, d 2.034, I = 56
46.32 deg, d 1.960, I = 100
49.73 deg, d 1.834, I = 27
51.37 deg, d 1.779, I = 3
56.08 deg, d 1.640, I = 8
57.59 deg, d 1.600, I = 5
59.08 deg, d 1.564, I = 2
68.95 deg, d 1.362, I = 8



No. 7
Calculated X-ray diffraction stick pattern
Compound: HoCdHg5
Radiation: Cu Ka
Structure: DFT lattice parameters and positions (PBE)

Atomic structure:
abc: 4.896 4.896 7.348
angles: 90.00 90.00 90.00
Space group P4/mmm (No. 123)
Asymmetric unit:
Ho  0.000  0.000  0.000 [1 per cell]
Cd  0.000  0.000  0.500 [1 per cell]
Hg  0.000  0.500  0.276 [4 per cell]
Hg  0.500  0.500  0.000 [1 per cell]

Top 12 peaks for 5° ≤ 2θ ≤ 70°, sorted by position:
21.81 deg, d 4.074, I = 5
25.73 deg, d 3.462, I = 8
28.50 deg, d 3.132, I = 16
35.63 deg, d 2.520, I = 100
36.71 deg, d 2.448, I = 55
49.63 deg, d 1.837, I = 8
52.89 deg, d 1.731, I = 26
61.17 deg, d 1.515, I = 4
63.29 deg, d 1.469, I = 16
65.41 deg, d 1.427, I = 35
66.10 deg, d 1.414, I = 4
69.49 deg, d 1.353, I = 7



No. 8
Calculated X-ray diffraction stick pattern
Compound: KCd3Hg8
Radiation: Cu Ka
Structure: DFT lattice parameters and positions (PBE)

Atomic structure:
abc: 5.9441 5.9441 10.9884
angles: 90.00 90.00 120.00
Space group P-3 (No. 147)
Asymmetric unit:
K  0.0000  0.0000  0.0000 [1 per cell]
Cd  0.0000  0.0000  0.5000 [1 per cell]
Cd  0.3333  0.6667  0.5005 [2 per cell]
Hg  0.0013  0.3424  0.2596 [6 per cell]
Hg  0.3333  0.6667  0.9975 [2 per cell]

Top 12 peaks for 5° ≤ 2θ ≤ 70°, sorted by position:
16.13 deg, d 5.494, I = 8
31.18 deg, d 2.869, I = 73
32.60 deg, d 2.747, I = 38
34.30 deg, d 2.614, I = 100
39.03 deg, d 2.308, I = 38
51.73 deg, d 1.767, I = 18
53.39 deg, d 1.716, I = 30
59.27 deg, d 1.559, I = 21
63.14 deg, d 1.473, I = 10
63.97 deg, d 1.455, I = 33
65.02 deg, d 1.434, I = 16
68.09 deg, d 1.377, I = 8



No. 9
Calculated X-ray diffraction stick pattern
Compound: Sc4PHC2
Radiation: Cu Ka
Structure: DFT lattice parameters and positions (PBE)

Atomic structure:
abc: 3.454 11.183 11.557
angles: 90.00 90.00 90.00
Space group Cmcm (No. 63)
Asymmetric unit:
Sc  0.000  0.000  0.000 [4 per cell]
Sc  0.000  0.264  0.108 [8 per cell]
Sc  0.000  0.435  0.750 [4 per cell]
P  0.000  0.112  0.750 [4 per cell]
H  0.000  0.158  0.250 [4 per cell]
C  0.000  0.367  0.560 [8 per cell]

Top 12 peaks for 5° ≤ 2θ ≤ 70°, sorted by position:
31.21 deg, d 2.866, I = 23
32.01 deg, d 2.796, I = 12
34.96 deg, d 2.567, I = 89
35.67 deg, d 2.517, I = 21
35.83 deg, d 2.506, I = 67
36.30 deg, d 2.475, I = 100
38.81 deg, d 2.320, I = 45
48.06 deg, d 1.893, I = 14
53.02 deg, d 1.727, I = 25
54.36 deg, d 1.688, I = 23
65.10 deg, d 1.433, I = 24
67.74 deg, d 1.383, I = 19



No. 10
Calculated X-ray diffraction stick pattern
Compound: GeBi
Radiation: Cu Ka
Structure: DFT lattice parameters and positions (PBE)

Atomic structure:
abc: 4.3805 4.3805 7.7285
angles: 90.00 90.00 120.00
Space group P-3m1 (No. 164)
Asymmetric unit:
Ge  0.0000  0.0000  0.1604 [2 per cell]
Bi  0.3333  0.6667  0.6806 [2 per cell]

Top 12 peaks for 5° ≤ 2θ ≤ 70°, sorted by position:
23.02 deg, d 3.864, I = 19
26.17 deg, d 3.405, I = 100
33.09 deg, d 2.707, I = 33
41.22 deg, d 2.190, I = 37
42.41 deg, d 2.131, I = 28
47.73 deg, d 1.905, I = 17
49.48 deg, d 1.842, I = 18
53.20 deg, d 1.722, I = 14
53.84 deg, d 1.703, I = 9
60.62 deg, d 1.527, I = 10
66.30 deg, d 1.410, I = 16
69.99 deg, d 1.344, I = 8



No. 11
Calculated X-ray diffraction stick pattern
Compound: RuPt
Radiation: Cu Ka
Structure: DFT lattice parameters and positions (PBE)

Atomic structure:
abc: 2.7696 2.7696 8.9420
angles: 90.00 90.00 120.00
Space group P-3m1 (No. 164)
Asymmetric unit:
Ru  0.3333  0.6667  0.3864 [2 per cell]
Pt  0.3333  0.6667  0.8653 [2 per cell]

Top 11 peaks for 5° ≤ 2θ ≤ 70°, sorted by position:
9.89 deg, d 8.942, I = 18
29.98 deg, d 2.981, I = 7
37.50 deg, d 2.399, I = 24
38.87 deg, d 2.317, I = 10
40.35 deg, d 2.236, I = 25
42.78 deg, d 2.114, I = 100
48.73 deg, d 1.869, I = 3
56.25 deg, d 1.635, I = 14
65.05 deg, d 1.434, I = 6
67.66 deg, d 1.385, I = 17
68.57 deg, d 1.368, I = 1



No. 12
Calculated X-ray diffraction stick pattern
Compound: CaSb3Rh3
Radiation: Cu Ka
Structure: DFT lattice parameters and positions (PBE)

Atomic structure:
abc: 7.2078 7.2078 21.8121
angles: 90.00 90.00 120.00
Space group R-3 (No. 148, hexagonal axes)
Asymmetric unit:
Ca  0.0000  0.0000  0.1758 [6 per cell]
Sb  0.0246  0.6259  0.2557 [18 per cell]
Rh  0.0157  0.7332  0.7092 [18 per cell]

Top 12 peaks for 5° ≤ 2θ ≤ 70°, sorted by position:
12.17 deg, d 7.271, I = 100
24.49 deg, d 3.635, I = 44
24.70 deg, d 3.604, I = 78
27.63 deg, d 3.229, I = 62
35.06 deg, d 2.559, I = 73
37.10 deg, d 2.424, I = 21
38.38 deg, d 2.346, I = 81
39.06 deg, d 2.306, I = 28
43.49 deg, d 2.081, I = 60
45.08 deg, d 2.011, I = 92
53.06 deg, d 1.726, I = 21
69.74 deg, d 1.349, I = 23